Computed powder X-ray diffraction pattern of Mg6Si5 for Cu Kα X-rays, from a DFT-relaxed cell (GGA-PBE, Alexandria).

Top 10 peaks for 2θ from 10° to 90°, by angle:
two_theta  I_rel  hkl
34.47  45  1 1 4
35.03  32  1 2 2
35.42  33  1 -1 4
35.82  44  -1 2 2
36.13  72  1 -2 2
36.24  49  1 2 -2
37.54  63  1 0 5
38.56  61  1 0 -5
40.58  35  0 3 2
42.84  100  2 0 0

Structural model:
Cell: 4.224 6.936 14.289 Å, 87.66 88.35 89.33°
Space group P1 (No. 1)
One atom of each set of equivalent atoms:
Mg 0.000 0.000 0.000 x1
Mg 0.002 0.644 0.594 x1
Mg 0.014 0.038 0.495 x1
Mg 0.029 0.678 0.374 x1
Mg 0.032 0.202 0.177 x1
Mg 0.476 0.822 0.876 x1
Mg 0.486 0.467 0.738 x1
Mg 0.496 0.985 0.661 x1
Mg 0.515 0.374 0.491 x1
Mg 0.528 0.039 0.328 x1
Mg 0.537 0.488 0.243 x1
Mg 0.957 0.502 0.937 x1
Si 0.030 0.299 0.355 x1
Si 0.042 0.765 0.186 x1
Si 0.387 0.656 0.055 x1
Si 0.477 0.217 0.891 x1
Si 0.515 0.782 0.486 x1
Si 0.531 0.282 0.061 x1
Si 0.543 0.943 0.140 x1
Si 0.978 0.117 0.798 x1
Si 0.985 0.763 0.768 x1
Si 0.994 0.269 0.639 x1